Entry 1:
Diffraction record for KTmNpO6. The PXRD pattern is calculated, not measured: it uses a crystal structure in Alexandria, relaxed with GGA-PBE and copper Kα.

Principal peaks in the range 10 to 90 degrees two-theta, sorted by position:
2theta  d [Å]  I_rel
17.02  5.210  19
18.71  4.743  56
23.62  3.766  100
30.73  2.909  86
33.65  2.663  26
38.78  2.322  15
46.21  1.964  68
48.33  1.883  18
54.48  1.684  18
58.37  1.581  20
58.52  1.577  16
69.10  1.359  17

```
18
Lattice="5.326 0.000 0.000 0.000 5.326 0.000 0.000 0.000 10.421" Properties=species:S:1:pos:R:3 pbc="T T T"
K 0.000 0.000 0.000
K 2.663 2.663 5.210
Tm 0.000 0.000 6.970
Tm 2.663 2.663 1.760
Np 0.000 0.000 3.515
Np 2.663 2.663 8.725
O 0.874 0.874 5.084
O 1.103 1.103 2.220
O 1.230 1.230 8.395
O 1.433 3.893 3.184
O 1.561 3.766 7.431
O 1.789 3.537 10.294
O 3.537 1.789 10.294
O 3.766 1.561 7.431
O 3.893 1.433 3.184
O 4.096 4.096 8.395
O 4.224 4.224 2.220
O 4.452 4.452 5.084
```



Entry 2:
Diffraction record for K3NpZn2O6. The PXRD pattern is calculated, not measured: it uses a crystal structure in Alexandria, relaxed with GGA-PBE and copper Kα.

Principal peaks in the range 10 to 90 degrees two-theta, sorted by position:
2theta  d [Å]  I_rel
12.56  7.050  78
16.58  5.345  54
20.86  4.259  65
28.93  3.086  94
30.38  2.943  100
31.65  2.827  36
42.00  2.151  19
42.44  2.130  50
51.82  1.764  20
52.18  1.753  47
60.46  1.531  32
68.68  1.367  19

```
12
Lattice="6.172 0.000 0.000 -3.086 5.345 0.000 0.000 0.000 7.050" Properties=species:S:1:pos:R:3 pbc="T T T"
K 0.000 0.000 0.000
K 0.000 3.564 5.150
K 3.086 1.782 1.899
Np 0.000 0.000 3.525
Zn 0.000 3.564 2.090
Zn 3.086 1.782 4.960
O 0.000 1.689 2.185
O -1.624 4.501 2.185
O 1.462 0.844 4.865
O 1.624 4.501 2.185
O 4.710 0.844 4.865
O 3.086 3.657 4.865
```



Entry 3:
Diffraction record for K2NpPaS6. The PXRD pattern is calculated, not measured: it uses a crystal structure in Alexandria, relaxed with GGA-PBE and copper Kα.

Principal peaks in the range 10 to 90 degrees two-theta, sorted by position:
2theta  d [Å]  I_rel
17.10  5.185  97
24.28  3.666  100
34.60  2.592  47
38.83  2.319  44
42.71  2.117  42
49.72  1.834  26
52.97  1.729  23
56.08  1.640  18
64.81  1.439  9
67.56  1.386  17
67.70  1.384  9
78.18  1.223  10

```
20
Lattice="7.318 0.000 0.000 0.000 7.338 0.000 -7.315 0.000 10.381" Properties=species:S:1:pos:R:3 pbc="T T T"
K -0.026 0.149 2.596
K -3.683 3.520 7.787
K 3.686 3.818 2.594
K 0.029 7.190 7.785
Np -3.657 0.000 5.190
Np 0.000 3.669 0.000
Pa 3.659 0.000 0.000
Pa 0.002 3.669 5.190
S -5.691 1.650 10.147
S -2.033 2.019 4.956
S -5.301 5.298 10.146
S -1.644 5.710 4.956
S -3.335 0.038 7.771
S 0.322 3.632 2.581
S -0.319 3.707 7.800
S 3.338 7.301 2.610
S 1.647 1.629 5.425
S 5.304 2.041 0.235
S 2.036 5.319 5.425
S 5.694 5.688 0.234
```



Entry 4:
Diffraction record for K2NpPa2Se6. The PXRD pattern is calculated, not measured: it uses a crystal structure in Alexandria, relaxed with GGA-PBE and copper Kα.

Principal peaks in the range 10 to 90 degrees two-theta, sorted by position:
2theta  d [Å]  I_rel
11.15  7.936  100
25.00  3.562  28
28.94  3.085  63
29.03  3.076  31
36.29  2.476  19
36.41  2.468  9
39.27  2.294  35
43.51  2.080  33
45.06  2.012  21
49.14  1.854  10
53.14  1.724  11
70.96  1.328  10

```
11
Lattice="3.600 -6.244 0.000 3.600 6.244 0.000 -2.371 0.000 7.936" Properties=species:S:1:pos:R:3 pbc="T T T"
K 3.600 4.173 0.000
K 3.600 -4.173 0.000
Np -1.185 0.000 3.968
Pa 2.415 2.066 3.968
Pa 2.415 -2.066 3.968
Se 0.032 2.118 5.588
Se 1.249 0.000 2.332
Se 0.032 -2.118 5.588
Se 4.798 2.118 2.348
Se 3.581 0.000 5.604
Se 4.798 -2.118 2.348
```



Entry 5:
Diffraction record for K2Np2PaSe6. The PXRD pattern is calculated, not measured: it uses a crystal structure in Alexandria, relaxed with GGA-PBE and copper Kα.

Principal peaks in the range 10 to 90 degrees two-theta, sorted by position:
2theta  d [Å]  I_rel
11.26  7.862  100
24.80  3.590  28
28.87  3.092  93
36.30  2.475  10
36.41  2.468  19
39.36  2.289  34
43.10  2.099  22
43.21  2.094  11
44.76  2.025  15
49.34  1.847  12
52.74  1.736  17
57.66  1.599  8

```
11
Lattice="3.638 -6.281 0.000 3.638 6.281 0.000 -2.444 0.000 7.862" Properties=species:S:1:pos:R:3 pbc="T T T"
K 3.638 4.165 0.000
K 3.638 -4.165 0.000
Np 2.416 2.087 3.931
Np 2.416 -2.087 3.931
Pa -1.222 0.000 3.931
Se -0.033 2.058 5.519
Se 1.149 0.000 2.341
Se -0.033 -2.058 5.519
Se 4.865 2.058 2.343
Se 3.683 0.000 5.521
Se 4.865 -2.058 2.343
```



Entry 6:
Diffraction record for K3Np3PdS8. The PXRD pattern is calculated, not measured: it uses a crystal structure in Alexandria, relaxed with GGA-PBE and copper Kα.

Principal peaks in the range 10 to 90 degrees two-theta, sorted by position:
2theta  d [Å]  I_rel
11.83  7.481  100
23.79  3.741  18
26.35  3.382  24
27.20  3.278  22
27.74  3.216  10
30.65  2.917  52
30.88  2.895  24
38.55  2.336  16
41.54  2.174  19
46.48  1.954  16
48.62  1.872  16
52.10  1.756  12

```
15
Lattice="6.730 -3.976 0.000 6.730 3.976 0.000 -4.428 0.000 7.481" Properties=species:S:1:pos:R:3 pbc="T T T"
K 0.000 0.000 0.000
K 3.365 1.988 0.000
K 3.365 -1.988 0.000
Np 1.151 1.988 3.740
Np 1.151 -1.988 3.740
Np 4.515 0.000 3.740
Pd -2.214 0.000 3.740
S -0.112 0.000 5.094
S 3.351 1.907 5.231
S 2.255 0.000 2.217
S 5.679 1.907 2.249
S 3.351 -1.907 5.231
S 6.776 0.000 5.264
S 5.679 -1.907 2.249
S 9.143 0.000 2.387
```



Entry 7:
Diffraction record for KNp2PdSe4. The PXRD pattern is calculated, not measured: it uses a crystal structure in Alexandria, relaxed with GGA-PBE and copper Kα.

Principal peaks in the range 10 to 90 degrees two-theta, sorted by position:
2theta  d [Å]  I_rel
12.24  7.230  31
14.06  6.300  100
22.39  3.970  39
25.47  3.497  30
28.75  3.106  27
29.42  3.036  43
31.35  2.854  100
33.52  2.674  49
34.35  2.611  29
43.07  2.100  30
43.23  2.093  71
43.50  2.080  35

```
16
Lattice="2.080 -7.000 0.000 2.080 7.000 0.000 0.000 0.000 14.461" Properties=species:S:1:pos:R:3 pbc="T T T"
K 2.080 5.380 10.846
K 2.080 -5.380 3.615
Np 2.080 1.854 8.206
Np 2.080 1.854 13.486
Np 2.080 -1.854 0.975
Np 2.080 -1.854 6.255
Pd 2.080 4.720 3.615
Pd 2.080 -4.720 10.846
Se 0.000 0.000 0.000
Se 0.000 0.000 7.230
Se 2.080 3.261 1.520
Se 2.080 3.261 5.711
Se 2.080 0.827 10.846
Se 2.080 -0.827 3.615
Se 2.080 -3.261 8.750
Se 2.080 -3.261 12.941
```



Entry 8:
Diffraction record for K2Pm2NpS6. The PXRD pattern is calculated, not measured: it uses a crystal structure in Alexandria, relaxed with GGA-PBE and copper Kα.

Principal peaks in the range 10 to 90 degrees two-theta, sorted by position:
2theta  d [Å]  I_rel
11.79  7.508  100
23.70  3.754  16
25.27  3.525  12
25.41  3.505  23
26.29  3.390  30
29.60  3.018  28
29.78  3.001  56
32.07  2.791  13
37.77  2.382  16
40.88  2.207  30
44.04  2.056  19
45.75  1.983  15

```
11
Lattice="3.567 -6.138 0.000 3.567 6.138 0.000 -2.402 0.000 7.508" Properties=species:S:1:pos:R:3 pbc="T T T"
K 3.567 4.057 0.000
K 3.567 -4.057 0.000
Pm 2.366 2.037 3.754
Pm 2.366 -2.037 3.754
Np -1.201 0.000 3.754
S -0.065 1.988 5.234
S 1.057 0.000 2.277
S -0.065 -1.988 5.234
S 4.797 1.988 2.275
S 3.675 0.000 5.231
S 4.797 -1.988 2.275
```



> What is the formula in the sixth record?

K3Np3PdS8



> Number 2 is which compound?

K3NpZn2O6